[1]
# Pm3In7Ir4
Computed powder diffraction line list, Cu Kα, 1.54184 Å. Input: the GGA-PBE geometry in Alexandria.
No peak broadening, texture or thermal motion is included.

Principal peaks in the range 5 to 70 degrees two-theta, low angle first:
- 2θ = 32.1°, I 846
- 2θ = 33.2°, I 387
- 2θ = 33.4°, I 557
- 2θ = 33.9°, I 1000
- 2θ = 38.1°, I 384
- 2θ = 38.8°, I 372
- 2θ = 40.3°, I 854
- 2θ = 41.2°, I 418

Structural model:
```
Pm3In7Ir4
1.0
8.272 -2.240 0.000
8.272 2.240 0.000
-5.469 0.000 8.492
Pm In Ir
3 7 4
direct
0.000 0.000 0.000
0.304 0.304 0.291
0.696 0.696 0.709
0.000 0.000 0.500
0.163 0.163 0.429
0.317 0.317 0.975
0.494 0.494 0.715
0.506 0.506 0.285
0.683 0.683 0.025
0.837 0.837 0.571
0.114 0.114 0.830
0.335 0.335 0.726
0.665 0.665 0.274
0.886 0.886 0.170
```

=====

[2]
# Pm2In6Ir
Computed powder diffraction line list, Cu Kα, 1.54184 Å. Input: the GGA-PBE geometry in Alexandria.
No peak broadening, texture or thermal motion is included.

Principal peaks in the range 5 to 70 degrees two-theta, low angle first:
- 2θ = 6.9°, I 219
- 2θ = 30.9°, I 242
- 2θ = 31.6°, I 1000
- 2θ = 36.9°, I 323
- 2θ = 38.6°, I 330
- 2θ = 38.7°, I 323
- 2θ = 46.3°, I 195
- 2θ = 61.8°, I 162

Structural model:
```
Pm2In6Ir
1.0
3.924 0.000 0.000
0.000 2.334 12.868
0.000 -2.334 12.868
Pm In Ir
2 6 1
direct
0.000 0.000 0.000
0.000 0.325 0.325
0.000 0.615 0.615
0.000 0.734 0.734
0.500 0.105 0.105
0.500 0.217 0.217
0.500 0.435 0.435
0.500 0.866 0.866
0.500 0.538 0.538
```

=====

[3]
# Pm2In2Ir
Computed powder diffraction line list, Cu Kα, 1.54184 Å. Input: the GGA-PBE geometry in Alexandria.
No peak broadening, texture or thermal motion is included.

Principal peaks in the range 5 to 70 degrees two-theta, low angle first:
- 2θ = 19.1°, I 177
- 2θ = 21.7°, I 219
- 2θ = 31.9°, I 157
- 2θ = 34.7°, I 1000
- 2θ = 38.1°, I 501
- 2θ = 46.0°, I 162
- 2θ = 54.9°, I 172
- 2θ = 66.7°, I 359

Structural model:
```
Pm2In2Ir
1.0
-2.363 2.363 12.204
2.363 -2.363 12.204
2.363 2.363 -12.204
Pm In Ir
4 4 2
direct
0.061 0.311 0.750
0.311 0.061 0.250
0.689 0.939 0.750
0.939 0.689 0.250
0.200 0.450 0.750
0.450 0.200 0.250
0.550 0.800 0.750
0.800 0.550 0.250
0.375 0.625 0.750
0.625 0.375 0.250
```

=====

[4]
# Pr8In2Ir3
Computed powder diffraction line list, Cu Kα, 1.54184 Å. Input: the GGA-PBE geometry in Alexandria.
No peak broadening, texture or thermal motion is included.

Principal peaks in the range 5 to 70 degrees two-theta, low angle first:
- 2θ = 11.6°, I 238
- 2θ = 34.1°, I 1000
- 2θ = 34.8°, I 251
- 2θ = 35.2°, I 247
- 2θ = 43.5°, I 114
- 2θ = 50.3°, I 178
- 2θ = 62.0°, I 176
- 2θ = 62.4°, I 174

Structural model:
```
Pr8In2Ir3
1.0
9.197 0.000 0.000
0.000 5.104 0.000
-3.430 0.000 8.546
Pr In Ir
8 2 3
direct
0.110 0.000 0.389
0.142 0.500 0.867
0.367 0.500 0.642
0.388 0.000 0.113
0.612 0.000 0.887
0.633 0.500 0.358
0.858 0.500 0.133
0.890 0.000 0.611
0.244 0.500 0.257
0.756 0.500 0.743
0.243 0.000 0.744
0.500 0.500 0.000
0.757 0.000 0.256
```

=====

[5]
# PrInIr
Computed powder diffraction line list, Cu Kα, 1.54184 Å. Input: the GGA-PBE geometry in Alexandria.
No peak broadening, texture or thermal motion is included.

Principal peaks in the range 5 to 70 degrees two-theta, low angle first:
- 2θ = 31.6°, I 742
- 2θ = 32.0°, I 354
- 2θ = 34.4°, I 482
- 2θ = 34.8°, I 1000
- 2θ = 37.0°, I 260
- 2θ = 41.9°, I 477
- 2θ = 42.4°, I 739
- 2θ = 61.1°, I 372

Structural model:
```
PrInIr
1.0
7.555 0.000 0.000
0.000 4.264 0.000
-0.276 0.000 12.946
Pr In Ir
6 6 6
direct
0.038 0.250 0.123
0.156 0.250 0.419
0.454 0.750 0.786
0.546 0.250 0.214
0.844 0.750 0.581
0.962 0.750 0.877
0.124 0.250 0.704
0.358 0.750 0.044
0.495 0.750 0.414
0.505 0.250 0.586
0.642 0.250 0.956
0.876 0.750 0.296
0.245 0.750 0.250
0.256 0.250 0.917
0.256 0.750 0.586
0.744 0.250 0.414
0.744 0.750 0.083
0.755 0.250 0.750
```

=====

[6]
# In4Ir3Rh
Computed powder diffraction line list, Cu Kα, 1.54184 Å. Input: the GGA-PBE geometry in Alexandria.
No peak broadening, texture or thermal motion is included.

Principal peaks in the range 5 to 70 degrees two-theta, low angle first:
- 2θ = 20.4°, I 28
- 2θ = 27.2°, I 42
- 2θ = 28.0°, I 19
- 2θ = 38.8°, I 524
- 2θ = 39.4°, I 1000
- 2θ = 48.5°, I 19
- 2θ = 56.0°, I 178
- 2θ = 58.0°, I 82

Structural model:
```
In4Ir3Rh
1.0
6.773 -2.322 0.000
6.773 2.322 0.000
-1.588 0.000 4.365
In Ir Rh
4 3 1
direct
0.124 0.124 0.124
0.376 0.376 0.376
0.624 0.624 0.624
0.876 0.876 0.876
0.000 0.000 0.500
0.249 0.249 0.749
0.751 0.751 0.251
0.500 0.500 0.000
```

=====

[7]
# In6IrRh5
Computed powder diffraction line list, Cu Kα, 1.54184 Å. Input: the GGA-PBE geometry in Alexandria.
No peak broadening, texture or thermal motion is included.

Principal peaks in the range 5 to 70 degrees two-theta, low angle first:
- 2θ = 12.8°, I 11
- 2θ = 14.0°, I 9
- 2θ = 19.0°, I 10
- 2θ = 39.0°, I 1000
- 2θ = 40.2°, I 457
- 2θ = 54.3°, I 93
- 2θ = 58.2°, I 151
- 2θ = 69.7°, I 173

Structural model:
```
In6IrRh5
1.0
4.637 0.000 0.000
0.000 6.340 0.000
-1.881 0.000 6.933
In Ir Rh
6 1 5
direct
0.000 0.249 0.000
0.000 0.751 0.000
0.332 0.250 0.666
0.332 0.750 0.666
0.668 0.250 0.334
0.668 0.750 0.334
0.500 0.500 0.000
0.167 0.000 0.334
0.168 0.500 0.333
0.500 0.000 0.000
0.832 0.500 0.667
0.833 0.000 0.666
```

=====

[8]
# TiInIrRh
Computed powder diffraction line list, Cu Kα, 1.54184 Å. Input: the GGA-PBE geometry in Alexandria.
No peak broadening, texture or thermal motion is included.

Principal peaks in the range 5 to 70 degrees two-theta, low angle first:
- 2θ = 24.5°, I 186
- 2θ = 25.1°, I 64
- 2θ = 29.8°, I 84
- 2θ = 39.4°, I 1000
- 2θ = 42.6°, I 398
- 2θ = 51.6°, I 113
- 2θ = 61.9°, I 129
- 2θ = 69.1°, I 185

Structural model:
```
TiInIrRh
1.0
-2.121 2.121 3.543
2.121 -2.121 3.543
2.121 2.121 -3.543
Ti In Ir Rh
1 1 1 1
direct
0.000 0.000 0.000
0.500 0.500 0.000
0.750 0.250 0.500
0.250 0.750 0.500
```

=====

[9]
# TmInIrRh
Computed powder diffraction line list, Cu Kα, 1.54184 Å. Input: the GGA-PBE geometry in Alexandria.
No peak broadening, texture or thermal motion is included.

Principal peaks in the range 5 to 70 degrees two-theta, low angle first:
- 2θ = 19.8°, I 69
- 2θ = 38.0°, I 1000
- 2θ = 40.1°, I 214
- 2θ = 40.3°, I 212
- 2θ = 51.3°, I 105
- 2θ = 58.2°, I 144
- 2θ = 67.0°, I 94
- 2θ = 67.1°, I 93

Structural model:
```
TmInIrRh
1.0
3.563 0.000 0.000
0.000 4.477 0.000
0.000 0.000 4.493
Tm In Ir Rh
1 1 1 1
direct
0.000 0.000 0.000
0.000 0.500 0.500
0.500 0.500 0.000
0.500 0.000 0.500
```

=====

[10]
# Sc5In2Ir2Ru
Computed powder diffraction line list, Cu Kα, 1.54184 Å. Input: the GGA-PBE geometry in Alexandria.
No peak broadening, texture or thermal motion is included.

Principal peaks in the range 5 to 70 degrees two-theta, low angle first:
- 2θ = 17.7°, I 267
- 2θ = 25.1°, I 495
- 2θ = 27.7°, I 246
- 2θ = 33.9°, I 296
- 2θ = 35.9°, I 246
- 2θ = 37.7°, I 1000
- 2θ = 40.3°, I 314
- 2θ = 42.7°, I 188

Structural model:
```
Sc5In2Ir2Ru
1.0
11.214 0.000 0.000
0.000 11.214 0.000
0.000 0.000 3.224
Sc In Ir Ru
10 4 4 2
direct
0.000 0.500 0.000
0.064 0.190 0.000
0.190 0.936 0.000
0.310 0.436 0.000
0.436 0.690 0.000
0.500 0.000 0.000
0.564 0.310 0.000
0.690 0.564 0.000
0.810 0.064 0.000
0.936 0.810 0.000
0.175 0.675 0.500
0.325 0.175 0.500
0.675 0.825 0.500
0.825 0.325 0.500
0.136 0.364 0.500
0.364 0.864 0.500
0.636 0.136 0.500
0.864 0.636 0.500
0.000 0.000 0.500
0.500 0.500 0.500
```

=====

[11]
# InIr2S4
Computed powder diffraction line list, Cu Kα, 1.54184 Å. Input: the GGA-PBE geometry in Alexandria.
No peak broadening, texture or thermal motion is included.

Principal peaks in the range 5 to 70 degrees two-theta, low angle first:
- 2θ = 15.4°, I 384
- 2θ = 25.3°, I 599
- 2θ = 31.1°, I 852
- 2θ = 31.7°, I 1000
- 2θ = 38.3°, I 336
- 2θ = 49.2°, I 483
- 2θ = 51.9°, I 250
- 2θ = 66.3°, I 236

Structural model:
```
InIr2S4
1.0
-3.235 3.235 6.307
3.235 -3.235 6.307
3.235 3.235 -6.307
In Ir S
2 4 8
direct
0.375 0.125 0.250
0.625 0.875 0.750
0.000 0.000 0.500
0.000 0.500 0.000
0.000 0.500 0.500
0.500 0.500 0.000
0.003 0.114 0.291
0.212 0.503 0.389
0.323 0.712 0.209
0.386 0.177 0.889
0.614 0.823 0.111
0.677 0.288 0.791
0.788 0.497 0.611
0.997 0.886 0.709
```

=====

[12]
# In2Ir3S2
Computed powder diffraction line list, Cu Kα, 1.54184 Å. Input: the GGA-PBE geometry in Alexandria.
No peak broadening, texture or thermal motion is included.

Principal peaks in the range 5 to 70 degrees two-theta, low angle first:
- 2θ = 19.1°, I 319
- 2θ = 19.3°, I 940
- 2θ = 36.9°, I 696
- 2θ = 38.7°, I 1000
- 2θ = 39.2°, I 359
- 2θ = 45.1°, I 829
- 2θ = 49.5°, I 350
- 2θ = 65.3°, I 288

Structural model:
```
In2Ir3S2
1.0
2.856 1.649 4.593
-2.856 1.649 4.593
0.000 -3.298 4.593
In Ir S
2 3 2
direct
0.000 0.000 0.000
0.500 0.500 0.500
0.000 0.500 0.500
0.500 0.000 0.500
0.500 0.500 0.000
0.215 0.215 0.215
0.785 0.785 0.785
```

=====

[13]
# TmScInIr
Computed powder diffraction line list, Cu Kα, 1.54184 Å. Input: the GGA-PBE geometry in Alexandria.
No peak broadening, texture or thermal motion is included.

Principal peaks in the range 5 to 70 degrees two-theta, low angle first:
- 2θ = 10.8°, I 399
- 2θ = 29.8°, I 133
- 2θ = 35.5°, I 1000
- 2θ = 39.6°, I 409
- 2θ = 43.5°, I 112
- 2θ = 57.2°, I 138
- 2θ = 60.8°, I 153
- 2θ = 69.1°, I 282

Structural model:
```
TmScInIr
1.0
3.221 0.000 0.000
0.000 3.221 0.000
0.000 0.000 8.188
Tm Sc In Ir
1 1 1 1
direct
0.000 0.000 0.000
0.000 0.000 0.582
0.500 0.500 0.302
0.500 0.500 0.778
```